# Ta2W11
Calculated powder X-ray diffraction pattern, Cu Ka. Input: a cell relaxed with GGA-PBE.
No peak broadening, texture or thermal motion is included.

Cell and atoms:
abc: 9.834 9.834 9.834
angles: 30.82 30.82 30.82
Atoms (fractional coordinates):
Ta1 0.047 0.047 0.047
Ta2 0.953 0.953 0.953
W1 0.086 0.591 0.591
W2 0.151 0.151 0.151
W3 0.332 0.332 0.332
W4 0.409 0.409 0.914
W5 0.409 0.914 0.409
W6 0.500 0.500 0.500
W7 0.591 0.086 0.591
W8 0.591 0.591 0.086
W9 0.668 0.668 0.668
W10 0.849 0.849 0.849
W11 0.914 0.409 0.409

Top 12 peaks for 2θ from 5° to 70°, sorted by position:
2theta	Rel. int.
34.31	47
37.70	44
38.47	25
39.49	100
39.96	48
40.57	62
41.94	23
43.09	57
46.04	23
63.69	18
64.93	24
65.70	30

# HgH12C2Br4N6
Calculated powder X-ray diffraction pattern, Cu Ka. Input: a cell relaxed with GGA-PBE.
No peak broadening, texture or thermal motion is included.

Cell and atoms:
abc: 7.468 7.468 13.038
angles: 104.85 104.85 96.02
Atoms (fractional coordinates):
Hg1 0.215 0.785 0.750
Hg2 0.785 0.215 0.250
H1 0.013 0.688 0.116
H2 0.117 0.422 0.145
H3 0.143 0.842 0.069
H4 0.158 0.857 0.431
H5 0.202 0.557 0.440
H6 0.312 0.987 0.384
H7 0.338 0.379 0.136
H8 0.379 0.338 0.636
H9 0.382 0.460 0.397
H10 0.422 0.117 0.645
H11 0.443 0.798 0.060
H12 0.460 0.382 0.897
H13 0.540 0.618 0.103
H14 0.557 0.202 0.940
H15 0.578 0.883 0.355
H16 0.618 0.540 0.603
H17 0.621 0.662 0.364
H18 0.662 0.621 0.864
H19 0.688 0.013 0.616
H20 0.798 0.443 0.560
H21 0.842 0.143 0.569
H22 0.857 0.158 0.931
H23 0.883 0.578 0.855
H24 0.987 0.312 0.884
C1 0.264 0.620 0.100
C2 0.380 0.736 0.400
C3 0.620 0.264 0.600
C4 0.736 0.380 0.900
Br1 0.017 0.223 0.440
Br2 0.168 0.436 0.775
Br3 0.223 0.017 0.940
Br4 0.436 0.168 0.275
Br5 0.564 0.832 0.725
Br6 0.777 0.983 0.060
Br7 0.832 0.564 0.225
Br8 0.983 0.777 0.560
N1 0.125 0.719 0.089
N2 0.242 0.465 0.132
N3 0.281 0.875 0.411
N4 0.328 0.578 0.424
N5 0.422 0.672 0.076
N6 0.465 0.242 0.632
N7 0.535 0.758 0.368
N8 0.578 0.328 0.924
N9 0.672 0.422 0.576
N10 0.719 0.125 0.589
N11 0.758 0.535 0.868
N12 0.875 0.281 0.911

Top 12 peaks for 2θ from 5° to 70°, sorted by position:
2theta	Rel. int.
12.47	100
14.71	23
16.26	37
21.78	24
23.96	63
25.09	21
27.42	20
28.22	34
28.58	37
31.78	22
43.59	24
45.14	23

# YHfTlNi
Calculated powder X-ray diffraction pattern, Cu Ka. Input: a cell relaxed with GGA-PBE.
No peak broadening, texture or thermal motion is included.

Cell and atoms:
abc: 6.982 6.982 6.982
angles: 90.00 90.00 90.00
Atoms (fractional coordinates):
Y1 0.000 0.000 0.000
Y2 0.000 0.500 0.500
Y3 0.500 0.000 0.500
Y4 0.500 0.500 0.000
Hf1 0.250 0.250 0.250
Hf2 0.250 0.750 0.750
Hf3 0.750 0.250 0.750
Hf4 0.750 0.750 0.250
Tl1 0.000 0.000 0.500
Tl2 0.000 0.500 0.000
Tl3 0.500 0.000 0.000
Tl4 0.500 0.500 0.500
Ni1 0.250 0.250 0.750
Ni2 0.250 0.750 0.250
Ni3 0.750 0.250 0.250
Ni4 0.750 0.750 0.750

Top 7 peaks for 2θ from 5° to 70°, sorted by position:
2theta	Rel. int.
22.05	19
25.52	1
36.40	100
42.96	11
52.42	18
57.54	5
65.49	36

# NiI
Calculated powder X-ray diffraction pattern, Cu Ka. Input: a cell relaxed with GGA-PBE.
No peak broadening, texture or thermal motion is included.

Cell and atoms:
abc: 5.446 5.446 5.446
angles: 90.00 90.00 90.00
Atoms (fractional coordinates):
Ni1 0.000 0.000 0.000
Ni2 0.000 0.500 0.500
Ni3 0.500 0.000 0.500
Ni4 0.500 0.500 0.000
I1 0.000 0.000 0.500
I2 0.000 0.500 0.000
I3 0.500 0.000 0.000
I4 0.500 0.500 0.500

Top 6 peaks for 2θ from 5° to 70°, sorted by position:
2theta	Rel. int.
28.39	19
32.89	100
47.21	71
56.00	9
58.73	24
68.98	11

# LiHfSn2
Calculated powder X-ray diffraction pattern, Cu Ka. Input: a cell relaxed with GGA-PBE.
No peak broadening, texture or thermal motion is included.

Cell and atoms:
abc: 7.109 7.109 7.109
angles: 90.00 90.00 90.00
Atoms (fractional coordinates):
Li1 0.000 0.000 0.000
Li2 0.000 0.500 0.500
Li3 0.500 0.000 0.500
Li4 0.500 0.500 0.000
Hf1 0.250 0.250 0.250
Hf2 0.250 0.750 0.750
Hf3 0.750 0.250 0.750
Hf4 0.750 0.750 0.250
Sn1 0.000 0.000 0.500
Sn2 0.000 0.500 0.000
Sn3 0.250 0.250 0.750
Sn4 0.250 0.750 0.250
Sn5 0.500 0.000 0.000
Sn6 0.500 0.500 0.500
Sn7 0.750 0.250 0.250
Sn8 0.750 0.750 0.750

Top 10 peaks for 2θ from 5° to 70°, sorted by position:
2theta	Rel. int.
21.65	21
25.05	20
35.72	100
42.16	12
44.13	6
51.41	18
56.42	5
58.02	8
64.18	38
68.59	4

# Lu5P
Calculated powder X-ray diffraction pattern, Cu Ka. Input: a cell relaxed with GGA-PBE.
No peak broadening, texture or thermal motion is included.

Cell and atoms:
abc: 9.226 9.226 6.082
angles: 90.00 90.00 141.35
Atoms (fractional coordinates):
Lu1 0.129 0.871 0.750
Lu2 0.208 0.290 0.750
Lu3 0.290 0.208 0.250
Lu4 0.306 0.694 0.002
Lu5 0.306 0.694 0.498
Lu6 0.694 0.306 0.502
Lu7 0.694 0.306 0.998
Lu8 0.710 0.792 0.750
Lu9 0.792 0.710 0.250
Lu10 0.871 0.129 0.250
P1 0.171 0.829 0.250
P2 0.829 0.171 0.750

Top 12 peaks for 2θ from 5° to 70°, sorted by position:
2theta	Rel. int.
25.16	41
29.53	59
31.04	100
31.15	82
33.31	31
34.24	59
34.44	45
36.45	79
41.93	35
47.06	32
60.45	42
61.32	32